The following is a theoretical powder diffractogram of HfNbP3O12. It was derived from a crystal structure in the Materials Project, relaxed with GGA-PBE, using Cu Kα, 1.54184 Å.
Lines closer than 0.1° are merged.

Most intense lines, 5° ≤ 2θ ≤ 70°, in order of rising 2θ:
| 2θ/deg | d (Å) | intensity |
| --- | --- | --- |
| 13.90 | 6.370 | 546 |
| 19.42 | 4.571 | 1000 |
| 20.00 | 4.440 | 786 |
| 23.22 | 3.831 | 365 |
| 28.02 | 3.185 | 578 |
| 31.03 | 2.882 | 507 |
| 34.66 | 2.588 | 337 |
| 35.00 | 2.564 | 264 |
| 44.59 | 2.032 | 162 |
| 45.42 | 1.997 | 204 |
| 51.00 | 1.791 | 210 |
| 54.69 | 1.678 | 200 |

Crystal structure
a = 9.1496 Å, b = 9.1496 Å, c = 9.1496 Å
α = 58.06°, β = 58.06°, γ = 58.06°
Fractional coordinates of all 34 atoms:
Hf  0.0000  0.0000  0.0000
Hf  0.5000  0.5000  0.5000
Nb  0.2846  0.2846  0.2846
Nb  0.7846  0.7846  0.7846
P  0.1079  0.3953  0.6734
P  0.1734  0.8953  0.6079
P  0.3953  0.6734  0.1079
P  0.6079  0.1734  0.8953
P  0.6734  0.1079  0.3953
P  0.8953  0.6079  0.1734
O  0.0010  0.8715  0.6393
O  0.0714  0.2303  0.8439
O  0.0716  0.4363  0.1980
O  0.1393  0.3715  0.5010
O  0.1429  0.9216  0.7740
O  0.1980  0.0716  0.4363
O  0.2303  0.8439  0.0714
O  0.2741  0.4216  0.6429
O  0.3439  0.7303  0.5714
O  0.3715  0.5010  0.1393
O  0.4216  0.6429  0.2741
O  0.4363  0.1980  0.0716
O  0.5010  0.1393  0.3715
O  0.5714  0.3439  0.7303
O  0.5716  0.6980  0.9363
O  0.6393  0.0010  0.8715
O  0.6429  0.2741  0.4216
O  0.6980  0.9363  0.5716
O  0.7303  0.5714  0.3439
O  0.7741  0.1429  0.9216
O  0.8439  0.0714  0.2303
O  0.8715  0.6393  0.0010
O  0.9216  0.7741  0.1429
O  0.9363  0.5716  0.6980